Starting from a DFT-relaxed cell (PBE+U, Alexandria), the powder XRD pattern of LiMnBO3 was calculated for copper Kα.
Neutral-atom scattering factors, no anomalous dispersion.

Largest 10 diffraction maxima, in order of rising 2θ, 10 to 90 degrees two-theta:
h k l  d/Å  2θ (°)  I (rel.)
1 -1 0  4.366  20.34  78
1 0 -1  4.301  20.65  22
1 0 0  4.038  22.01  35
0 1 -1  3.941  22.56  60
0 0 2  2.682  33.41  100
1 1 -1  2.641  33.94  32
1 -2 0  2.624  34.17  28
-2 1 1  2.593  34.59  24
2 0 -1  2.259  39.92  28
0 2 0  2.218  40.67  58

Atomic structure:
Lattice parameters (Å, degrees): 5.192 5.249 6.024 90.69 113.04 119.15
Atoms (fractional coordinates):
Li 0.058 0.126 0.324
Li 0.942 0.874 0.676
Mn 0.341 0.749 0.239
Mn 0.659 0.251 0.761
B 0.308 0.576 0.737
B 0.692 0.424 0.263
O 0.127 0.636 0.828
O 0.252 0.290 0.700
O 0.466 0.195 0.325
O 0.534 0.805 0.675
O 0.748 0.710 0.300
O 0.873 0.364 0.172